No. 1
Computed PXRD pattern of Cs2NpAgO6 for CuKα, from the GGA-PBE geometry in Alexandria.

Atomic structure:
Cell: 5.836 5.839 6.911 Å, 114.96 114.93 90.00°
Fractional positions:
1 Cs 0.249 0.250 0.000
2 Cs 0.751 0.750 0.000
3 Np 0.000 0.500 0.500
4 Ag 0.500 0.000 0.500
5 O 0.173 0.672 0.842
6 O 0.251 0.246 0.499
7 O 0.251 0.749 0.496
8 O 0.749 0.251 0.504
9 O 0.749 0.754 0.501
10 O 0.827 0.328 0.158

Most intense lines, 10 to 90 degrees two-theta, low angle first:
2θ (°)	d [Å]	intensity
17.16	5.166	15
26.92	3.312	100
30.63	2.919	34
32.28	2.773	20
43.87	2.064	19
45.09	2.011	20
52.22	1.752	32
54.37	1.687	17
55.50	1.656	16
72.35	1.306	15

No. 2
Computed PXRD pattern of SrZnGaCu for CuKα, from the GGA-PBE geometry in Alexandria.

Atomic structure:
Cell: 4.334 4.334 6.068 Å, 111.05 111.05 60.15°
Fractional positions:
1 Sr 0.000 0.000 0.000
2 Zn 0.517 0.517 0.551
3 Ga 0.803 0.803 0.409
4 Cu 0.191 0.191 0.573

Most intense lines, 10 to 90 degrees two-theta, low angle first:
2θ (°)	d [Å]	intensity
16.06	5.520	44
24.30	3.663	21
32.18	2.782	72
32.44	2.760	36
36.11	2.487	33
36.25	2.478	16
41.65	2.168	100
53.71	1.707	38
53.87	1.702	16
61.20	1.515	15